Record 1
Computed powder XRD pattern of Sm2Pd5Au5 for copper Kα, from a structure optimized by DFT (GGA-PBE).
Intensities are scaled so that the largest is 1000.

Atomic structure:
```
data_Sm2Pd5Au5
_chemical_formula_sum 'Sm2 Pd5 Au5'
_symmetry_space_group_name_H-M 'P m m m'
_symmetry_Int_Tables_number 47
_symmetry_space_group_name_Hall '-P 2 2'
_cell_length_a 4.5534
_cell_length_b 5.4788
_cell_length_c 9.4951
_cell_angle_alpha 90.00
_cell_angle_beta 90.00
_cell_angle_gamma 90.00
loop_
_atom_site_label
_atom_site_fract_x
_atom_site_fract_y
_atom_site_fract_z
Sm1 0.0000 0.0000 0.0000
Sm2 0.0000 0.5000 0.5000
Pd1 0.5000 0.0000 0.5000
Pd2 0.5000 0.2491 0.2518
Au1 0.0000 0.0000 0.3329
Au2 0.0000 0.5000 0.1720
Au3 0.5000 0.5000 0.0000
```

Peak list (6 most intense, 10° ≤ 2θ ≤ 90°, by angle)
2θ = 32.68°, I = 307, hkl 0 2 0
2θ = 38.34°, I = 1000, hkl 1 1 3
2θ = 39.58°, I = 289, hkl 2 0 0
2θ = 42.98°, I = 284, hkl 1 2 2
2θ = 62.11°, I = 245, hkl 1 3 3
2θ = 82.10°, I = 210, hkl 2 4 0

Record 2
Computed powder XRD pattern of Sm2Pd3Au9 for copper Kα, from a structure optimized by DFT (GGA-PBE).
Intensities are scaled so that the largest is 1000.

Atomic structure:
```
data_Sm2Pd3Au9
_chemical_formula_sum 'Sm8 Pd12 Au36'
_symmetry_space_group_name_H-M 'C 1 2/c 1'
_symmetry_Int_Tables_number 15
_symmetry_space_group_name_Hall '-C 2yc'
_cell_length_a 14.4848
_cell_length_b 7.7594
_cell_length_c 11.1198
_cell_angle_alpha 90.00
_cell_angle_beta 117.86
_cell_angle_gamma 90.00
loop_
_atom_site_label
_atom_site_fract_x
_atom_site_fract_y
_atom_site_fract_z
Sm1 0.1798 0.0623 0.2373
Pd1 0.0926 0.2259 0.5256
Pd2 0.2500 0.2500 0.0000
Au1 0.0000 0.2777 0.2500
Au2 0.0550 0.0830 0.8987
Au3 0.0975 0.3571 0.7496
Au4 0.0997 0.4033 0.0550
Au5 0.2167 0.4023 0.4332
```

Peak list (6 most intense, 10° ≤ 2θ ≤ 90°, by angle)
2θ = 34.50°, I = 482, hkl 3 1 -4
2θ = 35.62°, I = 528, hkl 3 1 2
2θ = 35.87°, I = 927, hkl 0 2 3
2θ = 37.27°, I = 425, hkl 6 0 -2
2θ = 39.53°, I = 1000, hkl 3 3 -1
2θ = 68.74°, I = 277, hkl 9 3 -3

Record 3
Computed powder XRD pattern of SmPd6Au5 for copper Kα, from a structure optimized by DFT (GGA-PBE).
Intensities are scaled so that the largest is 1000.

Atomic structure:
```
data_SmPd6Au5
_chemical_formula_sum 'Sm2 Pd12 Au10'
_symmetry_space_group_name_H-M 'I m m m'
_symmetry_Int_Tables_number 71
_symmetry_space_group_name_Hall '-I 2 2'
_cell_length_a 4.2978
_cell_length_b 7.6753
_cell_length_c 12.6924
_cell_angle_alpha 90.00
_cell_angle_beta 90.00
_cell_angle_gamma 90.00
loop_
_atom_site_label
_atom_site_fract_x
_atom_site_fract_y
_atom_site_fract_z
Sm1 0.0000 0.0000 0.0000
Pd1 0.0000 0.2392 0.5000
Pd2 0.0000 0.2553 0.1688
Au1 0.0000 0.0000 0.3305
Au2 0.0000 0.5000 0.0000
Au3 0.0000 0.5000 0.3342
```

Peak list (6 most intense, 10° ≤ 2θ ≤ 90°, by angle)
2θ = 37.95°, I = 1000, hkl 1 2 3
2θ = 42.05°, I = 189, hkl 2 0 0
2θ = 42.75°, I = 179, hkl 0 0 6
2θ = 47.38°, I = 132, hkl 0 4 0
2θ = 74.11°, I = 145, hkl 3 2 3
2θ = 75.09°, I = 135, hkl 1 2 9

Record 4
Computed powder XRD pattern of SmPdAu3 for copper Kα, from a structure optimized by DFT (GGA-PBE).
Intensities are scaled so that the largest is 1000.

Atomic structure:
```
data_SmPdAu3
_chemical_formula_sum 'Sm8 Pd8 Au24'
_symmetry_space_group_name_H-M 'C m c e'
_symmetry_Int_Tables_number 64
_symmetry_space_group_name_Hall '-C 2ac 2'
_cell_length_a 5.7015
_cell_length_b 19.1514
_cell_length_c 7.4896
_cell_angle_alpha 90.00
_cell_angle_beta 90.00
_cell_angle_gamma 90.00
loop_
_atom_site_label
_atom_site_fract_x
_atom_site_fract_y
_atom_site_fract_z
Sm1 0.0000 0.1295 0.0793
Pd1 0.2500 0.1688 0.7500
Au1 0.0000 0.0811 0.4889
Au2 0.0000 0.2219 0.4277
Au3 0.2500 0.0088 0.7500
```

Peak list (6 most intense, 10° ≤ 2θ ≤ 90°, by angle)
2θ = 34.96°, I = 264, hkl 2 2 1
2θ = 37.03°, I = 832, hkl 0 6 2
2θ = 37.22°, I = 287, hkl 0 2 3
2θ = 38.42°, I = 828, hkl 1 7 1
2θ = 39.73°, I = 1000, hkl 2 0 2
2θ = 42.52°, I = 476, hkl 2 6 0

Record 5
Computed powder XRD pattern of Sm2Pd3Au2 for copper Kα, from a structure optimized by DFT (GGA-PBE).
Intensities are scaled so that the largest is 1000.

Atomic structure:
```
data_Sm2Pd3Au2
_chemical_formula_sum 'Sm4 Pd6 Au4'
_symmetry_space_group_name_H-M 'C 1 2/m 1'
_symmetry_Int_Tables_number 12
_symmetry_space_group_name_Hall '-C 2y'
_cell_length_a 9.9134
_cell_length_b 4.1555
_cell_length_c 8.3898
_cell_angle_alpha 90.00
_cell_angle_beta 119.76
_cell_angle_gamma 90.00
loop_
_atom_site_label
_atom_site_fract_x
_atom_site_fract_y
_atom_site_fract_z
Sm1 0.2002 0.0000 0.2758
Pd1 0.0000 0.5000 0.0000
Pd2 0.0273 0.5000 0.3534
Au1 0.1559 0.0000 0.8808
```

Peak list (6 most intense, 10° ≤ 2θ ≤ 90°, by angle)
2θ = 30.33°, I = 456, hkl 1 1 -2
2θ = 34.84°, I = 381, hkl 3 1 -1
2θ = 38.12°, I = 834, hkl 3 1 0
2θ = 39.63°, I = 1000, hkl 1 1 -3
2θ = 39.87°, I = 432, hkl 4 0 -3
2θ = 43.56°, I = 348, hkl 0 2 0

Record 6
Computed powder XRD pattern of Sm2Pd3Au for copper Kα, from a structure optimized by DFT (GGA-PBE).
Intensities are scaled so that the largest is 1000.

Atomic structure:
```
data_Sm2Pd3Au
_chemical_formula_sum 'Sm8 Pd12 Au4'
_symmetry_space_group_name_H-M 'P n m a'
_symmetry_Int_Tables_number 62
_symmetry_space_group_name_Hall '-P 2ac 2n'
_cell_length_a 7.3425
_cell_length_b 3.9291
_cell_length_c 17.5388
_cell_angle_alpha 90.00
_cell_angle_beta 90.00
_cell_angle_gamma 90.00
loop_
_atom_site_label
_atom_site_fract_x
_atom_site_fract_y
_atom_site_fract_z
Sm1 0.0919 0.2500 0.2049
Sm2 0.1667 0.2500 0.4288
Pd1 0.0944 0.2500 0.6538
Pd2 0.2218 0.2500 0.8051
Pd3 0.2245 0.7500 0.5514
Au1 0.0063 0.7500 0.0660
```

Peak list (6 most intense, 10° ≤ 2θ ≤ 90°, by angle)
2θ = 32.95°, I = 1000, hkl 1 1 4
2θ = 33.40°, I = 312, hkl 2 1 0
2θ = 36.45°, I = 260, hkl 1 1 5
2θ = 36.87°, I = 757, hkl 2 1 3
2θ = 41.18°, I = 257, hkl 0 0 8
2θ = 46.21°, I = 339, hkl 0 2 0

Record 7
Computed powder XRD pattern of SmPd8Au4 for copper Kα, from a structure optimized by DFT (GGA-PBE).
Intensities are scaled so that the largest is 1000.

Atomic structure:
```
data_SmPd8Au4
_chemical_formula_sum 'Sm2 Pd16 Au8'
_symmetry_space_group_name_H-M 'I 4/m m m'
_symmetry_Int_Tables_number 139
_symmetry_space_group_name_Hall '-I 4 2'
_cell_length_a 9.2402
_cell_length_b 9.2402
_cell_length_c 5.4472
_cell_angle_alpha 90.00
_cell_angle_beta 90.00
_cell_angle_gamma 90.00
loop_
_atom_site_label
_atom_site_fract_x
_atom_site_fract_y
_atom_site_fract_z
Sm1 0.0000 0.0000 0.0000
Pd1 0.0000 0.2135 0.5000
Pd2 0.0000 0.3502 0.0000
Au1 0.2500 0.2500 0.2500
```

Peak list (6 most intense, 10° ≤ 2θ ≤ 90°, by angle)
2θ = 19.21°, I = 473, hkl 2 0 0
2θ = 38.36°, I = 1000, hkl 2 0 2
2θ = 38.83°, I = 594, hkl 3 2 1
2θ = 38.99°, I = 681, hkl 4 0 0
2θ = 43.25°, I = 778, hkl 2 2 2
2θ = 43.82°, I = 499, hkl 4 2 0

Record 8
Computed powder XRD pattern of Sm3Pd2Au6 for copper Kα, from a structure optimized by DFT (GGA-PBE).
Intensities are scaled so that the largest is 1000.

Atomic structure:
```
data_Sm3Pd2Au6
_chemical_formula_sum 'Sm6 Pd4 Au12'
_symmetry_space_group_name_H-M 'I 4/m m m'
_symmetry_Int_Tables_number 139
_symmetry_space_group_name_Hall '-I 4 2'
_cell_length_a 3.9444
_cell_length_b 3.9444
_cell_length_c 31.3574
_cell_angle_alpha 90.00
_cell_angle_beta 90.00
_cell_angle_gamma 90.00
loop_
_atom_site_label
_atom_site_fract_x
_atom_site_fract_y
_atom_site_fract_z
Sm1 0.0000 0.0000 0.0000
Sm2 0.0000 0.0000 0.1760
Pd1 0.0000 0.0000 0.3609
Au1 0.0000 0.0000 0.2724
Au2 0.0000 0.5000 0.0738
```

Peak list (6 most intense, 10° ≤ 2θ ≤ 90°, by angle)
2θ = 32.61°, I = 1000, hkl 1 1 2
2θ = 34.33°, I = 414, hkl 0 0 12
2θ = 36.52°, I = 903, hkl 1 1 6
2θ = 38.98°, I = 775, hkl 1 0 11
2θ = 39.66°, I = 564, hkl 1 1 8
2θ = 46.02°, I = 783, hkl 2 0 0

Record 9
Computed powder XRD pattern of SmZn5PdAu2 for copper Kα, from a structure optimized by DFT (GGA-PBE).
Intensities are scaled so that the largest is 1000.

Atomic structure:
```
data_SmZn5PdAu2
_chemical_formula_sum 'Sm1 Zn5 Pd1 Au2'
_symmetry_space_group_name_H-M 'P 4/m m m'
_symmetry_Int_Tables_number 123
_symmetry_space_group_name_Hall '-P 4 2'
_cell_length_a 4.9092
_cell_length_b 4.9092
_cell_length_c 7.4701
_cell_angle_alpha 90.00
_cell_angle_beta 90.00
_cell_angle_gamma 90.00
loop_
_atom_site_label
_atom_site_fract_x
_atom_site_fract_y
_atom_site_fract_z
Sm1 0.0000 0.0000 0.0000
Zn1 0.0000 0.5000 0.3071
Zn2 0.5000 0.5000 0.0000
Pd1 0.0000 0.0000 0.5000
Au1 0.5000 0.5000 0.3208
```

Peak list (6 most intense, 10° ≤ 2θ ≤ 90°, by angle)
2θ = 25.66°, I = 467, hkl 1 1 0
2θ = 30.06°, I = 624, hkl 1 0 2
2θ = 36.61°, I = 1000, hkl 2 0 0
2θ = 48.07°, I = 346, hkl 2 1 2
2θ = 52.35°, I = 442, hkl 2 0 3
2θ = 52.74°, I = 347, hkl 2 2 0

Record 10
Computed powder XRD pattern of SnPd4Au4 for copper Kα, from a structure optimized by DFT (GGA-PBE).
Intensities are scaled so that the largest is 1000.

Atomic structure:
```
data_SnPd4Au4
_chemical_formula_sum 'Sn2 Pd8 Au8'
_symmetry_space_group_name_H-M 'I 4/m m m'
_symmetry_Int_Tables_number 139
_symmetry_space_group_name_Hall '-I 4 2'
_cell_length_a 8.4833
_cell_length_b 8.4833
_cell_length_c 4.2966
_cell_angle_alpha 90.00
_cell_angle_beta 90.00
_cell_angle_gamma 90.00
loop_
_atom_site_label
_atom_site_fract_x
_atom_site_fract_y
_atom_site_fract_z
Sn1 0.0000 0.0000 0.0000
Pd1 0.0000 0.3313 0.0000
Au1 0.1697 0.1697 0.5000
```

Peak list (6 most intense, 10° ≤ 2θ ≤ 90°, by angle)
2θ = 38.10°, I = 1000, hkl 3 0 1
2θ = 42.06°, I = 190, hkl 0 0 2
2θ = 45.36°, I = 305, hkl 3 3 0
2θ = 63.57°, I = 224, hkl 3 3 2
2θ = 74.23°, I = 144, hkl 3 0 3
2θ = 78.91°, I = 244, hkl 6 3 1

Record 11
Computed powder XRD pattern of SnPd5Au6 for copper Kα, from a structure optimized by DFT (GGA-PBE).
Intensities are scaled so that the largest is 1000.

Atomic structure:
```
data_SnPd5Au6
_chemical_formula_sum 'Sn2 Pd10 Au12'
_symmetry_space_group_name_H-M 'C 1 2/m 1'
_symmetry_Int_Tables_number 12
_symmetry_space_group_name_Hall '-C 2y'
_cell_length_a 4.1254
_cell_length_b 12.0958
_cell_length_c 8.2424
_cell_angle_alpha 90.00
_cell_angle_beta 90.19
_cell_angle_gamma 90.00
loop_
_atom_site_label
_atom_site_fract_x
_atom_site_fract_y
_atom_site_fract_z
Sn1 0.0000 0.0000 0.0000
Pd1 0.0000 0.0000 0.5000
Pd2 0.0000 0.3317 0.5000
Pd3 0.0000 0.3409 0.0000
Au1 0.0000 0.1688 0.2530
Au2 0.9999 0.5000 0.2646
```

Peak list (6 most intense, 10° ≤ 2θ ≤ 90°, by angle)
2θ = 38.09°, I = 1000, hkl 1 3 2
2θ = 43.92°, I = 334, hkl 2 0 0
2θ = 44.97°, I = 157, hkl 0 6 0
2θ = 64.67°, I = 210, hkl 2 6 0
2θ = 76.75°, I = 128, hkl 3 3 -2
2θ = 76.92°, I = 127, hkl 3 3 2

Record 12
Computed powder XRD pattern of SnPd5Au3 for copper Kα, from a structure optimized by DFT (GGA-PBE).
Intensities are scaled so that the largest is 1000.

Atomic structure:
```
data_SnPd5Au3
_chemical_formula_sum 'Sn4 Pd20 Au12'
_symmetry_space_group_name_H-M 'C 1 2/m 1'
_symmetry_Int_Tables_number 12
_symmetry_space_group_name_Hall '-C 2y'
_cell_length_a 8.1544
_cell_length_b 7.4449
_cell_length_c 11.5866
_cell_angle_alpha 90.00
_cell_angle_beta 95.20
_cell_angle_gamma 90.00
loop_
_atom_site_label
_atom_site_fract_x
_atom_site_fract_y
_atom_site_fract_z
Sn1 0.0639 0.0000 0.2696
Pd1 0.0000 0.3307 0.0000
Pd2 0.0245 0.5000 0.2985
Pd3 0.1946 0.2170 0.6734
Pd4 0.2104 0.5000 0.8710
Au1 0.0000 0.0000 0.0000
Au2 0.0000 0.0000 0.5000
Au3 0.1714 0.5000 0.5151
Au4 0.2438 0.5000 0.1334
```

Peak list (6 most intense, 10° ≤ 2θ ≤ 90°, by angle)
2θ = 23.90°, I = 1000, hkl 0 2 0
2θ = 33.51°, I = 848, hkl 0 2 3
2θ = 35.32°, I = 383, hkl 3 1 0
2θ = 41.56°, I = 854, hkl 2 2 3
2θ = 44.62°, I = 382, hkl 4 0 -1
2θ = 48.93°, I = 375, hkl 0 4 0